Entry 1:
Theoretical powder XRD pattern of Dy2Si3Pd2 for CuKα, from a structure optimized by DFT (PBE).
Kinematic intensities with the Lorentz-polarization factor, no thermal factor.

Cell and atoms:
Unit cell a=9.1155 b=9.1155 c=6.9057 alpha=90.00 beta=90.00 gamma=153.67
Fractional coordinates of all 14 atoms:
Dy1 0.0545 0.9455 0.7500
Dy2 0.1542 0.8458 0.2500
Dy3 0.8458 0.1542 0.7500
Dy4 0.9455 0.0545 0.2500
Si1 0.2244 0.7756 0.7500
Si2 0.4404 0.5596 0.5729
Si3 0.4404 0.5596 0.9271
Si4 0.5596 0.4404 0.0729
Si5 0.5596 0.4404 0.4271
Si6 0.7756 0.2244 0.2500
Pd1 0.3085 0.6915 0.0483
Pd2 0.3085 0.6915 0.4517
Pd3 0.6915 0.3085 0.5483
Pd4 0.6915 0.3085 0.9517

Top 6 peaks for 10° ≤ 2θ ≤ 90°, in order of falling intensity:
d 2.513, 35.73 deg, I = 100
d 2.626, 34.15 deg, I = 93
d 2.043, 44.33 deg, I = 43
d 2.076, 43.60 deg, I = 39
d 2.720, 32.93 deg, I = 35
d 2.422, 37.12 deg, I = 33

---

Entry 2:
Theoretical powder XRD pattern of Dy2Si3Pd2 for CuKα, from a structure optimized by DFT (PBE).
Kinematic intensities with the Lorentz-polarization factor, no thermal factor.

Cell and atoms:
Unit cell a=10.2929 b=4.2107 c=6.4059 alpha=90.00 beta=115.46 gamma=90.00
Fractional coordinates of all 14 atoms:
Dy1 0.1503 0.0000 0.2781
Dy2 0.3497 0.5000 0.7219
Dy3 0.6503 0.5000 0.2781
Dy4 0.8497 0.0000 0.7219
Si1 0.0000 0.5000 0.5000
Si2 0.0986 0.5000 0.9382
Si3 0.4014 0.0000 0.0618
Si4 0.5000 0.0000 0.5000
Si5 0.5986 0.0000 0.9382
Si6 0.9014 0.5000 0.0618
Pd1 0.1426 0.0000 0.7496
Pd2 0.3574 0.5000 0.2504
Pd3 0.6426 0.5000 0.7496
Pd4 0.8574 0.0000 0.2504

Top 6 peaks for 10° ≤ 2θ ≤ 90°, in order of falling intensity:
d 2.495, 35.99 deg, I = 100
d 2.535, 35.40 deg, I = 77
d 3.835, 23.19 deg, I = 71
d 2.330, 38.64 deg, I = 69
d 2.892, 30.92 deg, I = 57
d 2.105, 42.96 deg, I = 45